Tb2PmSm12: theoretical XRD peak list (Cu Kα (weighted mean of Kα1 and Kα2)), based on a structure optimized by DFT (GGA-PBE).
Peak positions follow from Bragg's law for the DFT cell and can differ from measured ones.

Crystal structure
```
data_Tb2PmSm12
_cell_length_a 6.7792
_cell_length_b 6.7792
_cell_length_c 24.8931
_cell_angle_alpha 90.00
_cell_angle_beta 90.00
_cell_angle_gamma 116.35
_symmetry_space_group_name_H-M 'P 1'
_symmetry_Int_Tables_number 1
loop_
_symmetry_equiv_pos_as_xyz
'x,y,z'
loop_
_atom_site_label
_atom_site_type_symbol
_atom_site_fract_x
_atom_site_fract_y
_atom_site_fract_z
Tb1 Tb 0.2500 0.7500 0.2331
Tb2 Tb 0.2500 0.7500 0.7717
Tb3 Tb 0.7500 0.2500 0.2283
Tb4 Tb 0.7500 0.2500 0.7669
Pm1 Pm 0.2500 0.7500 0.5009
Pm2 Pm 0.7500 0.2500 0.4991
Sm1 Sm 0.0015 0.5015 0.6303
Sm2 Sm 0.0020 0.9980 0.4234
Sm3 Sm 0.0182 0.5182 0.0845
Sm4 Sm 0.0231 0.9769 0.9400
Sm5 Sm 0.2500 0.2500 0.1739
Sm6 Sm 0.2500 0.2500 0.2999
Sm7 Sm 0.2500 0.2500 0.7001
Sm8 Sm 0.2500 0.2500 0.8261
Sm9 Sm 0.4769 0.5231 0.9400
Sm10 Sm 0.4818 0.9818 0.0845
Sm11 Sm 0.4980 0.5020 0.4234
Sm12 Sm 0.4985 0.9985 0.6303
Sm13 Sm 0.5015 0.0015 0.3697
Sm14 Sm 0.5020 0.4980 0.5766
Sm15 Sm 0.5182 0.0182 0.9155
Sm16 Sm 0.5231 0.4769 0.0600
Sm17 Sm 0.7500 0.7500 0.1739
Sm18 Sm 0.7500 0.7500 0.2999
Sm19 Sm 0.7500 0.7500 0.7001
Sm20 Sm 0.7500 0.7500 0.8261
Sm21 Sm 0.9769 0.0231 0.0600
Sm22 Sm 0.9818 0.4818 0.9155
Sm23 Sm 0.9980 0.0020 0.5766
Sm24 Sm 0.9985 0.4985 0.3697
```

Peak list (10 most intense, 5 to 70 degrees two-theta, low angle first)
- d 3.100, rel. 22
- d 3.026, rel. 50
- d 2.951, rel. 72
- d 2.880, rel. 71
- d 2.852, rel. 22
- d 2.734, rel. 100
- d 2.451, rel. 37
- d 1.912, rel. 21
- d 1.633, rel. 20
- d 1.593, rel. 23

SmEr7Cd4: theoretical XRD peak list (Cu Kα (weighted mean of Kα1 and Kα2)), based on a structure optimized by DFT (GGA-PBE).
Peak positions follow from Bragg's law for the DFT cell and can differ from measured ones.

Crystal structure
```
data_SmEr7Cd4
_cell_length_a 7.8345
_cell_length_b 7.8345
_cell_length_c 9.6619
_cell_angle_alpha 119.53
_cell_angle_beta 119.53
_cell_angle_gamma 42.43
_symmetry_space_group_name_H-M 'P 1'
_symmetry_Int_Tables_number 1
loop_
_symmetry_equiv_pos_as_xyz
'x,y,z'
loop_
_atom_site_label
_atom_site_type_symbol
_atom_site_fract_x
_atom_site_fract_y
_atom_site_fract_z
Sm1 Sm 0.0000 0.0000 0.0000
Er1 Er 0.0720 0.0720 0.4146
Er2 Er 0.2063 0.2063 0.8802
Er3 Er 0.2623 0.2623 0.3067
Er4 Er 0.5000 0.5000 0.0000
Er5 Er 0.7377 0.7377 0.6933
Er6 Er 0.7937 0.7937 0.1198
Er7 Er 0.9280 0.9280 0.5854
Cd1 Cd 0.3183 0.3183 0.6594
Cd2 Cd 0.4582 0.4582 0.2884
Cd3 Cd 0.5418 0.5418 0.7116
Cd4 Cd 0.6817 0.6817 0.3406
```

Peak list (10 most intense, 5 to 70 degrees two-theta, low angle first)
- d 3.100, rel. 25
- d 2.973, rel. 48
- d 2.913, rel. 54
- d 2.835, rel. 100
- d 2.805, rel. 31
- d 2.775, rel. 44
- d 2.671, rel. 24
- d 2.527, rel. 74
- d 2.052, rel. 34
- d 1.994, rel. 23

Tb5Sm12Tm: theoretical XRD peak list (Cu Kα (weighted mean of Kα1 and Kα2)), based on a structure optimized by DFT (GGA-PBE).
Peak positions follow from Bragg's law for the DFT cell and can differ from measured ones.

Crystal structure
```
data_Tb5Sm12Tm
_cell_length_a 10.7916
_cell_length_b 5.0941
_cell_length_c 10.8040
_cell_angle_alpha 90.00
_cell_angle_beta 90.04
_cell_angle_gamma 90.00
_symmetry_space_group_name_H-M 'P 1'
_symmetry_Int_Tables_number 1
loop_
_symmetry_equiv_pos_as_xyz
'x,y,z'
loop_
_atom_site_label
_atom_site_type_symbol
_atom_site_fract_x
_atom_site_fract_y
_atom_site_fract_z
Tb1 Tb 0.0000 0.0000 0.0000
Tb2 Tb 0.1668 0.5000 0.8333
Tb3 Tb 0.3338 0.0000 0.6662
Tb4 Tb 0.6662 0.0000 0.3338
Tb5 Tb 0.8332 0.5000 0.1667
Sm1 Sm 0.0008 0.0000 0.6672
Sm2 Sm 0.1661 0.5000 0.1661
Sm3 Sm 0.1681 0.5000 0.5008
Sm4 Sm 0.3327 0.0000 0.9992
Sm5 Sm 0.3347 0.0000 0.3347
Sm6 Sm 0.4992 0.5000 0.8320
Sm7 Sm 0.5008 0.5000 0.1680
Sm8 Sm 0.6653 0.0000 0.6653
Sm9 Sm 0.6673 0.0000 0.0008
Sm10 Sm 0.8319 0.5000 0.4992
Sm11 Sm 0.8339 0.5000 0.8339
Sm12 Sm 0.9992 0.0000 0.3328
Tm1 Tm 0.5000 0.5000 0.5000
```

Peak list (5 most intense, 5 to 70 degrees two-theta, low angle first)
- d 2.940, rel. 100
- d 2.546, rel. 51
- d 1.800, rel. 36
- d 1.535, rel. 43
- d 1.470, rel. 12

LaSiPt6: theoretical XRD peak list (Cu Kα (weighted mean of Kα1 and Kα2)), based on a structure optimized by DFT (GGA-PBE).
Peak positions follow from Bragg's law for the DFT cell and can differ from measured ones.

Crystal structure
```
data_LaSiPt6
_cell_length_a 6.8498
_cell_length_b 6.8498
_cell_length_c 6.8498
_cell_angle_alpha 48.00
_cell_angle_beta 48.00
_cell_angle_gamma 48.00
_symmetry_space_group_name_H-M 'P 1'
_symmetry_Int_Tables_number 1
loop_
_symmetry_equiv_pos_as_xyz
'x,y,z'
loop_
_atom_site_label
_atom_site_type_symbol
_atom_site_fract_x
_atom_site_fract_y
_atom_site_fract_z
La1 La 0.0000 0.0000 0.0000
Si1 Si 0.5000 0.5000 0.5000
Pt1 Pt 0.0646 0.5829 0.5829
Pt2 Pt 0.4171 0.4171 0.9354
Pt3 Pt 0.4171 0.9354 0.4171
Pt4 Pt 0.5829 0.0646 0.5829
Pt5 Pt 0.5829 0.5829 0.0646
Pt6 Pt 0.9354 0.4171 0.4171
```

Peak list (10 most intense, 5 to 70 degrees two-theta, low angle first)
- d 4.664, rel. 18
- d 3.305, rel. 24
- d 3.024, rel. 45
- d 2.900, rel. 17
- d 2.392, rel. 100
- d 2.332, rel. 49
- d 2.050, rel. 41
- d 2.009, rel. 27
- d 1.766, rel. 33
- d 1.393, rel. 25

NaPr3Nd2Te6: theoretical XRD peak list (Cu Kα (weighted mean of Kα1 and Kα2)), based on a structure optimized by DFT (GGA-PBE).
Peak positions follow from Bragg's law for the DFT cell and can differ from measured ones.

Crystal structure
```
data_NaPr3Nd2Te6
_cell_length_a 10.1178
_cell_length_b 10.1178
_cell_length_c 9.0696
_cell_angle_alpha 102.92
_cell_angle_beta 102.92
_cell_angle_gamma 25.77
_symmetry_space_group_name_H-M 'P 1'
_symmetry_Int_Tables_number 1
loop_
_symmetry_equiv_pos_as_xyz
'x,y,z'
loop_
_atom_site_label
_atom_site_type_symbol
_atom_site_fract_x
_atom_site_fract_y
_atom_site_fract_z
Na1 Na 0.0000 0.0000 0.0000
Pr1 Pr 0.0000 0.0000 0.5000
Pr2 Pr 0.3349 0.3349 0.1725
Pr3 Pr 0.6651 0.6651 0.8275
Nd1 Nd 0.3313 0.3313 0.6593
Nd2 Nd 0.6687 0.6687 0.3407
Te1 Te 0.1660 0.1660 0.0843
Te2 Te 0.1659 0.1659 0.5826
Te3 Te 0.4979 0.4979 0.7530
Te4 Te 0.5021 0.5021 0.2470
Te5 Te 0.8341 0.8341 0.4174
Te6 Te 0.8340 0.8340 0.9157
```

Peak list (10 most intense, 5 to 70 degrees two-theta, low angle first)
- d 3.199, rel. 100
- d 2.264, rel. 38
- d 2.262, rel. 25
- d 2.256, rel. 13
- d 1.850, rel. 14
- d 1.844, rel. 14
- d 1.600, rel. 13
- d 1.433, rel. 6
- d 1.431, rel. 23
- d 1.428, rel. 6

La6CoPb2Au: theoretical XRD peak list (Cu Kα (weighted mean of Kα1 and Kα2)), based on a structure optimized by DFT (GGA-PBE).
Peak positions follow from Bragg's law for the DFT cell and can differ from measured ones.

Crystal structure
```
data_La6CoPb2Au
_cell_length_a 7.8489
_cell_length_b 7.8489
_cell_length_c 7.8489
_cell_angle_alpha 119.05
_cell_angle_beta 119.05
_cell_angle_gamma 91.66
_symmetry_space_group_name_H-M 'P 1'
_symmetry_Int_Tables_number 1
loop_
_symmetry_equiv_pos_as_xyz
'x,y,z'
loop_
_atom_site_label
_atom_site_type_symbol
_atom_site_fract_x
_atom_site_fract_y
_atom_site_fract_z
La1 La 0.2275 0.2275 0.0000
La2 La 0.2436 0.2436 0.4872
La3 La 0.2436 0.7564 0.0000
La4 La 0.7564 0.2436 0.0000
La5 La 0.7564 0.7564 0.5128
La6 La 0.7725 0.7725 0.0000
Co1 Co 0.0000 0.0000 0.0000
Pb1 Pb 0.2500 0.7500 0.5000
Pb2 Pb 0.7500 0.2500 0.5000
Au1 Au 0.5000 0.5000 0.0000
```

Peak list (10 most intense, 5 to 70 degrees two-theta, low angle first)
- d 3.981, rel. 14
- d 3.923, rel. 29
- d 3.219, rel. 100
- d 2.815, rel. 85
- d 2.734, rel. 37
- d 2.287, rel. 14
- d 1.990, rel. 31
- d 1.961, rel. 57
- d 1.693, rel. 31
- d 1.609, rel. 30

NdIn3Ag3: theoretical XRD peak list (Cu Kα (weighted mean of Kα1 and Kα2)), based on a structure optimized by DFT (GGA-PBE).
Peak positions follow from Bragg's law for the DFT cell and can differ from measured ones.

Crystal structure
```
data_NdIn3Ag3
_cell_length_a 7.4976
_cell_length_b 7.4976
_cell_length_c 7.4976
_cell_angle_alpha 90.00
_cell_angle_beta 90.00
_cell_angle_gamma 90.00
_symmetry_space_group_name_H-M 'P 1'
_symmetry_Int_Tables_number 1
loop_
_symmetry_equiv_pos_as_xyz
'x,y,z'
loop_
_atom_site_label
_atom_site_type_symbol
_atom_site_fract_x
_atom_site_fract_y
_atom_site_fract_z
Nd1 Nd 0.0000 0.0000 0.0000
Nd2 Nd 0.5000 0.5000 0.5000
In1 In 0.0000 0.2500 0.5000
In2 In 0.0000 0.7500 0.5000
In3 In 0.2500 0.5000 0.0000
In4 In 0.5000 0.0000 0.2500
In5 In 0.5000 0.0000 0.7500
In6 In 0.7500 0.5000 0.0000
Ag1 Ag 0.0000 0.5000 0.2500
Ag2 Ag 0.0000 0.5000 0.7500
Ag3 Ag 0.2500 0.0000 0.5000
Ag4 Ag 0.5000 0.2500 0.0000
Ag5 Ag 0.5000 0.7500 0.0000
Ag6 Ag 0.7500 0.0000 0.5000
```

Peak list (10 most intense, 5 to 70 degrees two-theta, low angle first)
- d 5.302, rel. 10
- d 3.749, rel. 42
- d 3.061, rel. 100
- d 2.371, rel. 3
- d 2.164, rel. 26
- d 2.004, rel. 59
- d 1.874, rel. 29
- d 1.677, rel. 17
- d 1.598, rel. 14
- d 1.369, rel. 17

Li2Hf2ZrSe6: theoretical XRD peak list (Cu Kα (weighted mean of Kα1 and Kα2)), based on a structure optimized by DFT (GGA-PBE).
Peak positions follow from Bragg's law for the DFT cell and can differ from measured ones.

Crystal structure
```
data_Li2Hf2ZrSe6
_cell_length_a 6.4981
_cell_length_b 6.4981
_cell_length_c 6.9646
_cell_angle_alpha 98.90
_cell_angle_beta 98.90
_cell_angle_gamma 120.09
_symmetry_space_group_name_H-M 'P 1'
_symmetry_Int_Tables_number 1
loop_
_symmetry_equiv_pos_as_xyz
'x,y,z'
loop_
_atom_site_label
_atom_site_type_symbol
_atom_site_fract_x
_atom_site_fract_y
_atom_site_fract_z
Li1 Li 0.1650 0.8350 0.0000
Li2 Li 0.8350 0.1650 0.0000
Hf1 Hf 0.3332 0.6668 0.5000
Hf2 Hf 0.6668 0.3332 0.5000
Zr1 Zr 0.0000 0.0000 0.5000
Se1 Se 0.0829 0.4198 0.7469
Se2 Se 0.2577 0.2577 0.2530
Se3 Se 0.4198 0.0829 0.7469
Se4 Se 0.5802 0.9171 0.2531
Se5 Se 0.7423 0.7423 0.7470
Se6 Se 0.9171 0.5802 0.2531
```

Peak list (10 most intense, 5 to 70 degrees two-theta, low angle first)
- d 6.622, rel. 64
- d 3.205, rel. 33
- d 2.718, rel. 100
- d 2.514, rel. 16
- d 2.137, rel. 12
- d 1.973, rel. 39
- d 1.875, rel. 34
- d 1.804, rel. 14
- d 1.543, rel. 18
- d 1.360, rel. 8

- What is the formula in the first record?
  Tb2PmSm12

What did the third record say?
Tb5Sm12Tm: theoretical XRD peak list (Cu Kα (weighted mean of Kα1 and Kα2)), based on a structure optimized by DFT (GGA-PBE).
Peak positions follow from Bragg's law for the DFT cell and can differ from measured ones.

Crystal structure
```
data_Tb5Sm12Tm
_cell_length_a 10.7916
_cell_length_b 5.0941
_cell_length_c 10.8040
_cell_angle_alpha 90.00
_cell_angle_beta 90.04
_cell_angle_gamma 90.00
_symmetry_space_group_name_H-M 'P 1'
_symmetry_Int_Tables_number 1
loop_
_symmetry_equiv_pos_as_xyz
'x,y,z'
loop_
_atom_site_label
_atom_site_type_symbol
_atom_site_fract_x
_atom_site_fract_y
_atom_site_fract_z
Tb1 Tb 0.0000 0.0000 0.0000
Tb2 Tb 0.1668 0.5000 0.8333
Tb3 Tb 0.3338 0.0000 0.6662
Tb4 Tb 0.6662 0.0000 0.3338
Tb5 Tb 0.8332 0.5000 0.1667
Sm1 Sm 0.0008 0.0000 0.6672
Sm2 Sm 0.1661 0.5000 0.1661
Sm3 Sm 0.1681 0.5000 0.5008
Sm4 Sm 0.3327 0.0000 0.9992
Sm5 Sm 0.3347 0.0000 0.3347
Sm6 Sm 0.4992 0.5000 0.8320
Sm7 Sm 0.5008 0.5000 0.1680
Sm8 Sm 0.6653 0.0000 0.6653
Sm9 Sm 0.6673 0.0000 0.0008
Sm10 Sm 0.8319 0.5000 0.4992
Sm11 Sm 0.8339 0.5000 0.8339
Sm12 Sm 0.9992 0.0000 0.3328
Tm1 Tm 0.5000 0.5000 0.5000
```

Peak list (5 most intense, 5 to 70 degrees two-theta, low angle first)
- d 2.940, rel. 100
- d 2.546, rel. 51
- d 1.800, rel. 36
- d 1.535, rel. 43
- d 1.470, rel. 12

- Number 4 is which compound?
  LaSiPt6